# 1
The following is a calculated powder XRD pattern of GdGe2O4. It was derived from the GGA-PBE geometry in OQMD, using CuKα.
Peak positions follow from Bragg's law for the DFT cell and can differ from measured ones.

Cell: 6.580 6.580 6.580 Å, 60.00 60.00 60.00°
Positions (direct):
Gd  0.125  0.125  0.125
Gd  0.875  0.875  0.875
Ge  0.000  0.500  0.500
Ge  0.500  0.000  0.500
Ge  0.500  0.500  0.000
Ge  0.500  0.500  0.500
O  0.260  0.260  0.260
O  0.260  0.260  0.719
O  0.260  0.719  0.260
O  0.281  0.740  0.740
O  0.719  0.260  0.260
O  0.740  0.281  0.740
O  0.740  0.740  0.281
O  0.740  0.740  0.740

Largest 10 diffraction maxima, in order of rising 2θ, 2θ = 10–80°:
- 27.10 deg, I = 55
- 31.90 deg, I = 100
- 33.35 deg, I = 6
- 47.89 deg, I = 23
- 50.99 deg, I = 39
- 55.89 deg, I = 38
- 63.19 deg, I = 10
- 65.81 deg, I = 12
- 76.62 deg, I = 12
- 79.04 deg, I = 21

***

# 2
The following is a calculated powder XRD pattern of Gd2Ge2O7. It was derived from the GGA-PBE geometry in OQMD, using CuKα.
Peak positions follow from Bragg's law for the DFT cell and can differ from measured ones.

Cell: 6.833 6.833 12.466 Å, 90.00 90.00 90.00°
Positions (direct):
Gd  0.125  0.352  0.115
Gd  0.148  0.625  0.365
Gd  0.352  0.125  0.885
Gd  0.375  0.852  0.135
Gd  0.625  0.148  0.635
Gd  0.648  0.875  0.385
Gd  0.852  0.375  0.865
Gd  0.875  0.648  0.615
Ge  0.102  0.153  0.630
Ge  0.153  0.102  0.370
Ge  0.347  0.602  0.880
Ge  0.398  0.653  0.620
Ge  0.602  0.347  0.120
Ge  0.653  0.398  0.380
Ge  0.847  0.898  0.870
Ge  0.898  0.847  0.130
O  0.031  0.075  0.874
O  0.062  0.662  0.178
O  0.075  0.031  0.126
O  0.144  0.316  0.295
O  0.162  0.438  0.928
O  0.184  0.644  0.545
O  0.201  0.201  0.500
O  0.299  0.701  0.750
O  0.316  0.144  0.705
O  0.338  0.938  0.322
O  0.356  0.816  0.955
O  0.425  0.531  0.124
O  0.438  0.162  0.072
O  0.469  0.575  0.376
O  0.531  0.425  0.876
O  0.562  0.838  0.572
O  0.575  0.469  0.624
O  0.644  0.184  0.455
O  0.662  0.062  0.822
O  0.684  0.856  0.205
O  0.701  0.299  0.250
O  0.799  0.799  0.000
O  0.816  0.356  0.045
O  0.838  0.562  0.428
O  0.856  0.684  0.795
O  0.925  0.969  0.626
O  0.938  0.338  0.678
O  0.969  0.925  0.374

Largest 10 diffraction maxima, in order of rising 2θ, 2θ = 10–80°:
- 14.78 deg, I = 39
- 27.06 deg, I = 81
- 28.64 deg, I = 78
- 29.22 deg, I = 26
- 30.11 deg, I = 47
- 32.63 deg, I = 100
- 33.97 deg, I = 42
- 48.59 deg, I = 40
- 53.32 deg, I = 34
- 61.95 deg, I = 26

***

# 3
The following is a calculated powder XRD pattern of PrGdGe4Os2. It was derived from the GGA-PBE geometry in OQMD, using CuKα.
Peak positions follow from Bragg's law for the DFT cell and can differ from measured ones.

Cell: 4.527 4.430 8.430 Å, 90.00 103.70 90.00°
Positions (direct):
Pr  0.000  0.000  0.000
Gd  0.209  0.500  0.417
Ge  0.278  0.000  0.704
Ge  0.559  0.500  0.116
Ge  0.644  0.000  0.296
Ge  0.921  0.500  0.703
Os  0.484  0.500  0.821
Os  0.714  0.000  0.588

Largest 10 diffraction maxima, in order of rising 2θ, 2θ = 10–80°:
- 10.80 deg, I = 100
- 28.60 deg, I = 47
- 28.85 deg, I = 88
- 29.71 deg, I = 56
- 32.37 deg, I = 86
- 33.24 deg, I = 41
- 34.31 deg, I = 74
- 38.75 deg, I = 84
- 39.85 deg, I = 50
- 40.74 deg, I = 78

***

# 4
The following is a calculated powder XRD pattern of SmGdGe2Os2. It was derived from the GGA-PBE geometry in OQMD, using CuKα.
Peak positions follow from Bragg's law for the DFT cell and can differ from measured ones.

Cell: 4.244 4.244 6.861 Å, 90.00 90.00 90.00°
Positions (direct):
Sm  0.000  0.000  0.000
Gd  0.500  0.500  0.366
Ge  0.000  0.000  0.474
Ge  0.500  0.500  0.884
Os  0.000  0.500  0.679
Os  0.500  0.000  0.679

Largest 10 diffraction maxima, in order of rising 2θ, 2θ = 10–80°:
- 12.90 deg, I = 66
- 32.57 deg, I = 72
- 33.59 deg, I = 31
- 39.40 deg, I = 16
- 39.92 deg, I = 100
- 42.61 deg, I = 58
- 59.42 deg, I = 19
- 61.84 deg, I = 19
- 71.66 deg, I = 15
- 76.18 deg, I = 30

***

# 5
The following is a calculated powder XRD pattern of Gd3Ge2Pb5. It was derived from the GGA-PBE geometry in OQMD, using CuKα.
Peak positions follow from Bragg's law for the DFT cell and can differ from measured ones.

Cell: 13.398 13.398 4.596 Å, 90.00 90.00 160.89°
Positions (direct):
Gd  0.000  0.000  0.000
Gd  0.195  0.805  0.000
Gd  0.805  0.195  0.000
Ge  0.282  0.718  0.500
Ge  0.718  0.282  0.500
Pb  0.102  0.898  0.500
Pb  0.399  0.601  0.000
Pb  0.500  0.500  0.500
Pb  0.601  0.399  0.000
Pb  0.898  0.102  0.500

Largest 10 diffraction maxima, in order of rising 2θ, 2θ = 10–80°:
- 32.75 deg, I = 100
- 33.92 deg, I = 21
- 39.20 deg, I = 16
- 40.57 deg, I = 15
- 52.79 deg, I = 12
- 53.89 deg, I = 11
- 59.96 deg, I = 14
- 66.98 deg, I = 14
- 68.64 deg, I = 11
- 68.89 deg, I = 12

***

# 6
The following is a calculated powder XRD pattern of Gd2GePd. It was derived from the GGA-PBE geometry in OQMD, using CuKα.
Peak positions follow from Bragg's law for the DFT cell and can differ from measured ones.

Cell: 4.275 5.843 5.843 Å, 40.07 90.00 90.00°
Positions (direct):
Gd  0.000  0.000  0.000
Gd  0.500  0.279  0.279
Ge  0.000  0.721  0.721
Pd  0.500  0.560  0.560

Largest 10 diffraction maxima, in order of rising 2θ, 2θ = 10–80°:
- 26.42 deg, I = 16
- 31.69 deg, I = 100
- 32.63 deg, I = 30
- 33.17 deg, I = 32
- 39.00 deg, I = 20
- 39.46 deg, I = 57
- 42.28 deg, I = 26
- 45.31 deg, I = 21
- 54.76 deg, I = 16
- 63.71 deg, I = 29

***

# 7
The following is a calculated powder XRD pattern of Pr2GdGe3PdPt2. It was derived from the GGA-PBE geometry in OQMD, using CuKα.
Peak positions follow from Bragg's law for the DFT cell and can differ from measured ones.

Cell: 4.019 7.373 7.373 Å, 119.81 90.00 90.00°
Positions (direct):
Pr  0.000  0.205  0.795
Pr  0.000  0.795  0.205
Gd  0.000  0.388  0.388
Ge  0.500  0.046  0.046
Ge  0.500  0.544  0.791
Ge  0.500  0.791  0.544
Pd  0.000  0.788  0.788
Pt  0.500  0.136  0.459
Pt  0.500  0.459  0.136

Largest 10 diffraction maxima, in order of rising 2θ, 2θ = 10–80°:
- 24.12 deg, I = 23
- 32.96 deg, I = 100
- 35.91 deg, I = 96
- 37.19 deg, I = 25
- 42.39 deg, I = 28
- 43.70 deg, I = 24
- 45.12 deg, I = 27
- 59.87 deg, I = 17
- 63.66 deg, I = 25
- 68.13 deg, I = 18

***

# 8
The following is a calculated powder XRD pattern of TbGdGe2Pd4. It was derived from the GGA-PBE geometry in OQMD, using CuKα.
Peak positions follow from Bragg's law for the DFT cell and can differ from measured ones.

Cell: 4.408 4.408 9.076 Å, 90.00 90.00 120.00°
Positions (direct):
Tb  0.000  0.000  0.000
Gd  0.667  0.333  0.500
Ge  0.333  0.667  0.249
Ge  0.333  0.667  0.751
Pd  0.000  0.000  0.330
Pd  0.000  0.000  0.670
Pd  0.667  0.333  0.168
Pd  0.667  0.333  0.832

Largest 10 diffraction maxima, in order of rising 2θ, 2θ = 10–80°:
- 23.30 deg, I = 21
- 25.31 deg, I = 5
- 30.61 deg, I = 16
- 37.95 deg, I = 100
- 40.95 deg, I = 78
- 57.06 deg, I = 30
- 66.49 deg, I = 12
- 72.60 deg, I = 29
- 74.59 deg, I = 13
- 76.36 deg, I = 11

***

# 9
The following is a calculated powder XRD pattern of PrGdZn6Ge3. It was derived from the GGA-PBE geometry in OQMD, using CuKα.
Peak positions follow from Bragg's law for the DFT cell and can differ from measured ones.

Cell: 4.078 13.248 7.648 Å, 90.00 90.00 90.00°
Positions (direct):
Pr  0.000  0.084  0.000
Pr  0.000  0.916  0.500
Gd  0.000  0.417  0.000
Gd  0.000  0.583  0.500
Zn  0.000  0.156  0.406
Zn  0.000  0.252  0.690
Zn  0.000  0.346  0.404
Zn  0.000  0.654  0.904
Zn  0.000  0.748  0.190
Zn  0.000  0.844  0.906
Zn  0.500  0.107  0.645
Zn  0.500  0.252  0.212
Zn  0.500  0.395  0.643
Zn  0.500  0.605  0.143
Zn  0.500  0.748  0.712
Zn  0.500  0.893  0.145
Ge  0.500  0.059  0.309
Ge  0.500  0.254  0.884
Ge  0.500  0.443  0.307
Ge  0.500  0.557  0.807
Ge  0.500  0.746  0.384
Ge  0.500  0.941  0.809

Largest 10 diffraction maxima, in order of rising 2θ, 2θ = 10–80°:
- 32.09 deg, I = 100
- 34.90 deg, I = 15
- 35.87 deg, I = 22
- 40.87 deg, I = 32
- 42.36 deg, I = 52
- 44.43 deg, I = 24
- 49.63 deg, I = 13
- 52.89 deg, I = 14
- 61.95 deg, I = 19
- 68.93 deg, I = 21

***

# 10
The following is a calculated powder XRD pattern of PrGdZn6Ge3. It was derived from the GGA-PBE geometry in OQMD, using CuKα.
Peak positions follow from Bragg's law for the DFT cell and can differ from measured ones.

Cell: 7.658 7.658 4.080 Å, 90.00 90.00 120.00°
Positions (direct):
Pr  0.000  0.000  0.000
Gd  0.667  0.333  0.000
Zn  0.046  0.667  0.500
Zn  0.142  0.479  0.000
Zn  0.333  0.379  0.500
Zn  0.337  0.858  0.000
Zn  0.521  0.663  0.000
Zn  0.621  0.954  0.500
Ge  0.339  0.054  0.500
Ge  0.715  0.661  0.500
Ge  0.946  0.285  0.500

Largest 10 diffraction maxima, in order of rising 2θ, 2θ = 10–80°:
- 32.06 deg, I = 100
- 34.87 deg, I = 15
- 35.82 deg, I = 23
- 40.82 deg, I = 32
- 42.32 deg, I = 53
- 44.41 deg, I = 24
- 49.56 deg, I = 13
- 52.82 deg, I = 14
- 61.89 deg, I = 18
- 68.83 deg, I = 21

***

# 11
The following is a calculated powder XRD pattern of PrGd3Zn12Ge6. It was derived from the GGA-PBE geometry in OQMD, using CuKα.
Peak positions follow from Bragg's law for the DFT cell and can differ from measured ones.

Cell: 7.626 4.053 13.211 Å, 90.00 90.00 90.00°
Positions (direct):
Pr  0.000  0.000  0.000
Gd  0.000  0.000  0.334
Gd  0.500  0.000  0.500
Gd  0.500  0.000  0.832
Zn  0.095  0.000  0.571
Zn  0.097  0.000  0.760
Zn  0.287  0.500  0.665
Zn  0.310  0.000  0.169
Zn  0.355  0.500  0.024
Zn  0.359  0.500  0.311
Zn  0.591  0.000  0.071
Zn  0.597  0.000  0.262
Zn  0.785  0.500  0.167
Zn  0.810  0.000  0.666
Zn  0.857  0.500  0.524
Zn  0.857  0.500  0.809
Ge  0.114  0.500  0.170
Ge  0.194  0.500  0.473
Ge  0.197  0.500  0.857
Ge  0.613  0.500  0.666
Ge  0.688  0.500  0.972
Ge  0.695  0.500  0.361

Largest 10 diffraction maxima, in order of rising 2θ, 2θ = 10–80°:
- 32.23 deg, I = 100
- 35.05 deg, I = 16
- 35.97 deg, I = 23
- 40.99 deg, I = 32
- 42.53 deg, I = 53
- 44.71 deg, I = 24
- 49.77 deg, I = 13
- 53.07 deg, I = 16
- 62.26 deg, I = 18
- 69.16 deg, I = 30

***

# 12
The following is a calculated powder XRD pattern of PrGdZn6Ge3. It was derived from the GGA-PBE geometry in OQMD, using CuKα.
Peak positions follow from Bragg's law for the DFT cell and can differ from measured ones.

Cell: 4.079 13.251 7.649 Å, 90.00 90.00 90.00°
Positions (direct):
Pr  0.000  0.167  0.000
Pr  0.000  0.833  0.000
Gd  0.000  0.334  0.499
Gd  0.000  0.666  0.499
Zn  0.000  0.000  0.310
Zn  0.000  0.095  0.593
Zn  0.000  0.406  0.096
Zn  0.000  0.500  0.809
Zn  0.000  0.594  0.096
Zn  0.000  0.905  0.593
Zn  0.500  0.000  0.786
Zn  0.500  0.145  0.356
Zn  0.500  0.357  0.855
Zn  0.500  0.500  0.289
Zn  0.500  0.643  0.855
Zn  0.500  0.855  0.356
Ge  0.500  0.000  0.117
Ge  0.500  0.194  0.688
Ge  0.500  0.310  0.196
Ge  0.500  0.500  0.614
Ge  0.500  0.690  0.196
Ge  0.500  0.806  0.688

Largest 10 diffraction maxima, in order of rising 2θ, 2θ = 10–80°:
- 32.08 deg, I = 100
- 34.89 deg, I = 15
- 35.86 deg, I = 22
- 40.86 deg, I = 32
- 42.36 deg, I = 52
- 44.42 deg, I = 24
- 49.61 deg, I = 13
- 52.87 deg, I = 14
- 61.94 deg, I = 18
- 68.91 deg, I = 21